ReI3: calculated powder XRD pattern (copper Kα), based on a GGA-PBE-relaxed structure.
Intensities are scaled so that the largest is 100.

Peak list (8 most intense, 2θ from 10° to 90°, by angle)
10.1°, I 47
11.1°, I 97
12.3°, I 100
12.7°, I 73
28.2°, I 25
30.5°, I 79
32.7°, I 32
36.4°, I 31

Structure:
```
data_ReI3
_chemical_formula_sum 'Re6 I18'
_cell_length_a 9.4245
_cell_length_b 11.4553
_cell_length_c 9.8768
_cell_angle_alpha 90.00
_cell_angle_beta 111.06
_cell_angle_gamma 90.00
_space_group_name_H-M_alt 'P 1 21/m 1'
_space_group_IT_number 11
loop_
_space_group_symop_operation_xyz
'x,y,z'
'-x,-y,-z'
'-x,y+1/2,-z'
'x,-y+1/2,z'
loop_
_atom_site_label
_atom_site_type_symbol
_atom_site_fract_x
_atom_site_fract_y
_atom_site_fract_z
Re1 Re 0.1638 0.1402 0.1371
Re2 Re 0.1711 0.2500 0.3543
I1 I 0.0934 0.7500 0.6120
I2 I 0.1443 0.2500 0.8819
I3 I 0.1444 0.5892 0.9830
I4 I 0.1718 0.0087 0.3752
I5 I 0.4467 0.2500 0.5427
I6 I 0.4543 0.0915 0.1921
```